(1)
Tl4CrSe4: theoretical powder XRD pattern (Cu Kα (λ = 1.5418 Å)), based on a crystal structure in Alexandria, relaxed with PBE.
Intensities are scaled so that the largest is 100.

Structural model:
Cell lengths 7.3828, 7.3828, 9.9649 Å; angles 117.82, 117.82, 31.71 degrees
Positions (direct):
Tl 0.0860 0.0860 0.4123
Tl 0.3044 0.3044 0.2183
Tl 0.6956 0.6956 0.7817
Tl 0.9140 0.9140 0.5877
Cr 0.5000 0.5000 0.0000
Se 0.0853 0.0853 0.9312
Se 0.3397 0.3397 0.7311
Se 0.6603 0.6603 0.2689
Se 0.9147 0.9147 0.0688

The 8 most intense peaks (2θ = 10–80°), sorted by position:
2theta, Rel. int.
25.35, 22.0
26.78, 51.8
30.24, 53.1
30.80, 100.0
42.75, 34.9
44.65, 32.0
44.94, 20.6
55.12, 19.7

=====

(2)
Tl2CrSe: theoretical powder XRD pattern (Cu Kα (λ = 1.5418 Å)), based on a crystal structure in Alexandria, relaxed with PBE.
Intensities are scaled so that the largest is 100.

Structural model:
Cell lengths 8.4448, 8.4448, 3.7372 Å; angles 102.67, 102.67, 24.01 degrees
Positions (direct):
Tl 0.1748 0.1748 0.1763
Tl 0.8252 0.8252 0.8237
Cr 0.5000 0.5000 0.0000
Se 0.0000 0.0000 0.5000

The 8 most intense peaks (2θ = 10–80°), sorted by position:
2theta, Rel. int.
25.96, 31.6
29.12, 97.5
30.41, 67.4
33.39, 51.6
36.85, 100.0
37.91, 26.0
41.83, 28.0
58.33, 36.2

=====

(3)
Tl2CrSe: theoretical powder XRD pattern (Cu Kα (λ = 1.5418 Å)), based on a crystal structure in Alexandria, relaxed with PBE.
Intensities are scaled so that the largest is 100.

Structural model:
Cell lengths 9.6392, 9.6392, 9.6392 Å; angles 21.12, 21.12, 21.12 degrees
Positions (direct):
Tl 0.0000 0.0000 0.0000
Tl 0.2351 0.2351 0.2351
Cr 0.4893 0.4893 0.4893
Se 0.7763 0.7763 0.7763

The 8 most intense peaks (2θ = 10–80°), sorted by position:
2theta, Rel. int.
28.42, 30.4
29.36, 22.6
31.87, 100.0
33.29, 38.2
38.94, 41.0
51.57, 20.9
51.74, 28.9
60.09, 23.0

=====

(4)
UTl2Cr2Se6: theoretical powder XRD pattern (Cu Kα (λ = 1.5418 Å)), based on a crystal structure in Alexandria, relaxed with PBE.
Intensities are scaled so that the largest is 100.

Structural model:
Cell lengths 6.6046, 6.6046, 8.1850 Å; angles 97.24, 97.24, 120.37 degrees
Positions (direct):
U 0.0000 0.0000 0.0000
Tl 0.1578 0.8422 0.5000
Tl 0.8422 0.1578 0.5000
Cr 0.3329 0.6671 0.0000
Cr 0.6671 0.3329 0.0000
Se 0.0578 0.4152 0.1887
Se 0.3010 0.3010 0.8118
Se 0.4152 0.0578 0.1887
Se 0.5848 0.9422 0.8113
Se 0.6990 0.6990 0.1882
Se 0.9422 0.5848 0.8113

The 8 most intense peaks (2θ = 10–80°), sorted by position:
2theta, Rel. int.
15.95, 45.4
19.12, 24.5
24.55, 22.9
30.89, 100.0
31.32, 50.7
41.03, 35.2
47.89, 31.8
58.09, 23.9

=====

What is the formula in the third record?
Tl2CrSe